This entry pairs a crystal structure of CaY3Ir with its theoretical powder XRD pattern. Radiation: Cu Kα X-rays. Structure: the GGA-PBE geometry in Alexandria.

Largest 6 diffraction maxima, in order of rising 2θ, 10 to 80 degrees two-theta:
two_theta	Rel. int.	hkl
13.57	100	1 0 0
18.52	40	0 1 1
21.94	32	1 1 -1
31.54	45	1 0 2
31.66	68	2 1 -1
38.13	27	2 2 0

Structural model:
Cell lengths 6.587, 6.828, 6.784 Å; angles 90.00, 97.73, 90.00 degrees
Fractional positions:
Ca 0.000 0.122 0.000
Ca 0.000 0.878 0.500
Y 0.320 0.447 0.334
Y 0.320 0.553 0.834
Y 0.488 0.068 0.745
Y 0.488 0.932 0.245
Y 0.820 0.383 0.482
Y 0.820 0.617 0.982
Ir 0.600 0.291 0.096
Ir 0.600 0.709 0.596